Simulated XRD peak list
Compound: NaCrW2O8
Radiation: Cu Kα X-rays
Structure: a cell relaxed with GGA+U
Intensities are scaled so that the largest is 100.

Structure:
```
data_NaCrW2O8
_chemical_formula_sum 'Na2 Cr2 W4 O16'
_cell_length_a 9.9799
_cell_length_b 5.8062
_cell_length_c 5.0842
_cell_angle_alpha 90.00
_cell_angle_beta 90.85
_cell_angle_gamma 90.00
_symmetry_space_group_name_H-M 'P 1 2/c 1'
_symmetry_Int_Tables_number 13
loop_
_symmetry_equiv_pos_as_xyz
'x,y,z'
'-x,-y,-z'
'-x,y,-z+1/2'
'x,-y,z+1/2'
loop_
_atom_site_label
_atom_site_type_symbol
_atom_site_fract_x
_atom_site_fract_y
_atom_site_fract_z
Na1 Na 0.0000 0.1868 0.2500
Cr1 Cr 0.5000 0.1478 0.2500
W1 W 0.2662 0.3253 0.7368
O1 O 0.1469 0.1239 0.6196
O2 O 0.1720 0.4085 0.0501
O3 O 0.3765 0.3759 0.4204
O4 O 0.3931 0.1211 0.9089
```

Top 10 peaks for 2θ = 5–70°, by intensity:
index	d [Å]	I_rel
2 1 1	3.019	100
2 0 0	4.989	100
2 1 -1	3.052	98
0 1 1	3.825	87
2 1 0	3.784	58
0 2 1	2.521	43
4 0 2	1.767	39
1 0 0	9.979	37
2 2 1	2.243	30
0 0 2	2.542	30